Record 1
Na2HfPbCl8: simulated XRD peak list (Cu Kα, 1.54184 Å), based on a structure optimized by DFT (PBE).
Kinematic intensities with the Lorentz-polarization factor, no thermal factor.

Structure:
```
data_Na2HfPbCl8
_cell_length_a 6.4187
_cell_length_b 8.4327
_cell_length_c 6.6140
_cell_angle_alpha 90.00
_cell_angle_beta 92.71
_cell_angle_gamma 90.00
_symmetry_space_group_name_H-M 'P 1 2/m 1'
_symmetry_Int_Tables_number 10
loop_
_symmetry_equiv_pos_as_xyz
'x,y,z'
'-x,-y,-z'
'-x,y,-z'
'x,-y,z'
loop_
_atom_site_label
_atom_site_type_symbol
_atom_site_fract_x
_atom_site_fract_y
_atom_site_fract_z
_atom_site_occupancy
Na1 Na 0.0000 0.2471 0.0000 1
Hf1 Hf 0.5000 0.5000 0.5000 1
Pb1 Pb 0.5000 0.0000 0.5000 1
Cl1 Cl 0.2114 0.0000 0.1738 1
Cl2 Cl 0.2449 0.5000 0.2099 1
Cl3 Cl 0.2971 0.2909 0.6640 1
```

Largest 10 diffraction maxima, most intense first, 2θ = 10–90°:
| d (Å) | I (rel.) |
| --- | --- |
| 6.607 | 100 |
| 6.412 | 93 |
| 3.143 | 89 |
| 4.714 | 86 |
| 4.496 | 68 |
| 3.523 | 52 |
| 2.353 | 51 |
| 2.411 | 42 |
| 3.554 | 36 |
| 4.216 | 35 |


Record 2
HfPbCl: simulated XRD peak list (Cu Kα, 1.54184 Å), based on a structure optimized by DFT (PBE).
Kinematic intensities with the Lorentz-polarization factor, no thermal factor.

Structure:
```
data_HfPbCl
_cell_length_a 16.7605
_cell_length_b 6.0906
_cell_length_c 12.0102
_cell_angle_alpha 90.00
_cell_angle_beta 127.33
_cell_angle_gamma 90.00
_symmetry_space_group_name_H-M 'C 1 c 1'
_symmetry_Int_Tables_number 9
loop_
_symmetry_equiv_pos_as_xyz
'x,y,z'
'x,-y,z+1/2'
'x+1/2,y+1/2,z'
'x+1/2,-y+1/2,z+1/2'
loop_
_atom_site_label
_atom_site_type_symbol
_atom_site_fract_x
_atom_site_fract_y
_atom_site_fract_z
_atom_site_occupancy
Hf1 Hf 0.0000 0.0620 0.0000 1
Hf2 Hf 0.0330 0.3981 0.7804 1
Hf3 Hf 0.1972 0.3367 0.2802 1
Pb1 Pb 0.0194 0.4428 0.5133 1
Pb2 Pb 0.0396 0.0920 0.2842 1
Pb3 Pb 0.3539 0.1148 0.5429 1
Cl1 Cl 0.1916 0.0212 0.1471 1
Cl2 Cl 0.2186 0.3685 0.9417 1
Cl3 Cl 0.3255 0.4592 0.7768 1
```

Largest 10 diffraction maxima, most intense first, 2θ = 10–90°:
| d (Å) | I (rel.) |
| --- | --- |
| 6.663 | 100 |
| 2.412 | 60 |
| 2.420 | 58 |
| 2.587 | 53 |
| 2.498 | 47 |
| 2.387 | 45 |
| 2.974 | 43 |
| 2.862 | 39 |
| 2.221 | 39 |
| 5.421 | 38 |


Record 3
Hf2ZnRuCl: simulated XRD peak list (Cu Kα, 1.54184 Å), based on a structure optimized by DFT (PBE).
Kinematic intensities with the Lorentz-polarization factor, no thermal factor.

Structure:
```
data_Hf2ZnRuCl
_cell_length_a 4.6626
_cell_length_b 4.6626
_cell_length_c 4.3820
_cell_angle_alpha 90.00
_cell_angle_beta 90.00
_cell_angle_gamma 90.00
_symmetry_space_group_name_H-M 'P 4/m m m'
_symmetry_Int_Tables_number 123
_symmetry_space_group_name_Hall '-P 4 2'
loop_
_atom_site_label
_atom_site_type_symbol
_atom_site_fract_x
_atom_site_fract_y
_atom_site_fract_z
_atom_site_occupancy
Hf1 Hf 0.0000 0.5000 0.0000 1
Zn1 Zn 0.0000 0.0000 0.5000 1
Ru1 Ru 0.5000 0.5000 0.5000 1
Cl1 Cl 0.5000 0.5000 0.0000 1
```

Largest 10 diffraction maxima, most intense first, 2θ = 10–90°:
| d (Å) | I (rel.) |
| --- | --- |
| 2.635 | 100 |
| 2.331 | 46 |
| 1.397 | 28 |
| 1.597 | 28 |
| 2.191 | 19 |
| 4.382 | 17 |
| 1.648 | 16 |
| 1.317 | 15 |
| 1.335 | 12 |
| 2.058 | 9 |


Record 4
HfS2Cl5: simulated XRD peak list (Cu Kα, 1.54184 Å), based on a structure optimized by DFT (PBE).
Kinematic intensities with the Lorentz-polarization factor, no thermal factor.

Structure:
```
data_HfS2Cl5
_cell_length_a 6.8875
_cell_length_b 7.4714
_cell_length_c 7.6243
_cell_angle_alpha 71.82
_cell_angle_beta 73.57
_cell_angle_gamma 67.76
_symmetry_space_group_name_H-M 'P 1'
_symmetry_Int_Tables_number 1
loop_
_symmetry_equiv_pos_as_xyz
'x,y,z'
loop_
_atom_site_label
_atom_site_type_symbol
_atom_site_fract_x
_atom_site_fract_y
_atom_site_fract_z
_atom_site_occupancy
Hf1 Hf 0.0000 0.0000 0.0000 1
S1 S 0.1684 0.5084 0.4441 1
S2 S 0.3911 0.4558 0.5692 1
Cl1 Cl 0.0662 0.0779 0.2459 1
Cl2 Cl 0.2681 0.6141 0.1368 1
Cl3 Cl 0.2735 0.9270 0.7421 1
Cl4 Cl 0.7360 0.8494 0.0883 1
Cl5 Cl 0.8101 0.3188 0.8511 1
```

Largest 10 diffraction maxima, most intense first, 2θ = 10–90°:
| d (Å) | I (rel.) |
| --- | --- |
| 5.563 | 100 |
| 7.116 | 48 |
| 6.262 | 47 |
| 5.410 | 41 |
| 6.729 | 27 |
| 4.317 | 25 |
| 3.457 | 23 |
| 5.210 | 21 |
| 4.408 | 18 |
| 3.641 | 17 |